Diffraction record for LiFeSi3O8. The XRD peak list is calculated, not measured: it uses a structure optimized by DFT (PBE+U) and a wavelength of 1.5418 Å.
Kinematic intensities with the Lorentz-polarization factor, no thermal factor.

The 8 most intense peaks (10° ≤ 2θ ≤ 80°), in order of rising 2θ:
2theta, intensity
22.35, 47
23.61, 63
24.67, 22
27.19, 49
27.46, 100
29.47, 22
30.78, 13
34.27, 15

Structural model:
a b c (Å): 7.3841 7.3882 7.8964
angles (deg): 107.25 116.94 101.36
Atoms (fractional coordinates):
Li1 0.2429 0.3714 0.2547
Li2 0.7571 0.6286 0.7453
Fe1 0.3342 0.7023 0.6732
Fe2 0.6658 0.2977 0.3268
Si1 0.0524 0.8070 0.2838
Si2 0.2671 0.8511 0.0564
Si3 0.3353 0.2566 0.6617
Si4 0.6647 0.7434 0.3383
Si5 0.7329 0.1489 0.9436
Si6 0.9476 0.1930 0.7162
O1 0.0412 0.7678 0.0600
O2 0.1789 0.6806 0.3975
O3 0.1818 0.0554 0.4323
O4 0.1860 0.7502 0.8094
O5 0.2034 0.2679 0.7819
O6 0.3750 0.1017 0.1694
O7 0.3941 0.4573 0.6193
O8 0.4346 0.7585 0.1882
O9 0.5654 0.2415 0.8118
O10 0.6059 0.5427 0.3807
O11 0.6250 0.8983 0.8306
O12 0.7966 0.7321 0.2181
O13 0.8140 0.2498 0.1906
O14 0.8182 0.9446 0.5677
O15 0.8211 0.3194 0.6025
O16 0.9588 0.2322 0.9400


Diffraction record for LiFeSiO4. The XRD peak list is calculated, not measured: it uses a structure optimized by DFT (PBE+U) and a wavelength of 1.5418 Å.
Kinematic intensities with the Lorentz-polarization factor, no thermal factor.

The 8 most intense peaks (10° ≤ 2θ ≤ 80°), in order of rising 2θ:
2theta, intensity
20.16, 25
21.71, 100
25.69, 71
31.14, 78
34.20, 69
38.60, 30
48.83, 33
65.72, 37

Structural model:
a b c (Å): 8.6087 8.6087 8.6087
angles (deg): 107.37 107.37 107.37
Atoms (fractional coordinates):
Li1 0.0403 0.2674 0.4426
Li2 0.2674 0.4426 0.0403
Li3 0.4426 0.0403 0.2674
Li4 0.5574 0.9597 0.7326
Li5 0.7326 0.5574 0.9597
Li6 0.9597 0.7326 0.5574
Fe1 0.2137 0.6267 0.3909
Fe2 0.3733 0.6091 0.7863
Fe3 0.3909 0.2137 0.6267
Fe4 0.6091 0.7863 0.3733
Fe5 0.6267 0.3909 0.2137
Fe6 0.7863 0.3733 0.6091
Si1 0.0608 0.8890 0.2845
Si2 0.1110 0.7155 0.9392
Si3 0.2845 0.0608 0.8890
Si4 0.7155 0.9392 0.1110
Si5 0.8890 0.2845 0.0608
Si6 0.9392 0.1110 0.7155
O1 0.0651 0.7576 0.3856
O2 0.1000 0.4241 0.1563
O3 0.1483 0.8491 0.8336
O4 0.1509 0.1664 0.8517
O5 0.1563 0.1000 0.4241
O6 0.1664 0.8517 0.1509
O7 0.2044 0.5199 0.5493
O8 0.2424 0.6144 0.9349
O9 0.3856 0.0651 0.7576
O10 0.4241 0.1563 0.1000
O11 0.4507 0.7956 0.4801
O12 0.4801 0.4507 0.7956
O13 0.5199 0.5493 0.2044
O14 0.5493 0.2044 0.5199
O15 0.5759 0.8437 0.9000
O16 0.6144 0.9349 0.2424
O17 0.7576 0.3856 0.0651
O18 0.7956 0.4801 0.4507
O19 0.8336 0.1483 0.8491
O20 0.8437 0.9000 0.5759
O21 0.8491 0.8336 0.1483
O22 0.8517 0.1509 0.1664
O23 0.9000 0.5759 0.8437
O24 0.9349 0.2424 0.6144


Diffraction record for Li9Fe4Si4O20. The XRD peak list is calculated, not measured: it uses a structure optimized by DFT (PBE+U) and a wavelength of 1.5418 Å.
Kinematic intensities with the Lorentz-polarization factor, no thermal factor.

The 8 most intense peaks (10° ≤ 2θ ≤ 80°), in order of rising 2θ:
2theta, intensity
10.93, 46
18.53, 45
19.24, 100
24.24, 79
31.85, 53
31.98, 26
35.83, 44
56.92, 26

Structural model:
a b c (Å): 5.0130 5.6178 16.1838
angles (deg): 90.29 90.02 90.36
Atoms (fractional coordinates):
Li1 0.0000 0.0000 0.0000
Li2 0.0011 0.0015 0.5944
Li3 0.0044 0.5030 0.4912
Li4 0.0051 0.5079 0.9054
Li5 0.0128 0.5137 0.3012
Li6 0.4964 0.6769 0.3988
Li7 0.4999 0.6799 0.9952
Li8 0.5008 0.1729 0.0885
Li9 0.5038 0.1673 0.6965
Fe1 0.0052 0.0053 0.7981
Fe2 0.0067 0.5025 0.6966
Fe3 0.5033 0.1701 0.2949
Fe4 0.5102 0.6717 0.1957
Si1 0.0024 0.0007 0.3987
Si2 0.0103 0.5082 0.0939
Si3 0.5076 0.1708 0.9010
Si4 0.5112 0.6675 0.5972
O1 0.0337 0.1452 0.4869
O2 0.0587 0.6754 0.7950
O3 0.1085 0.6645 0.0146
O4 0.1107 0.1774 0.7026
O5 0.1116 0.2351 0.0789
O6 0.1118 0.7291 0.3959
O7 0.1373 0.6023 0.1832
O8 0.1397 0.1763 0.3275
O9 0.1759 0.1565 0.8920
O10 0.1792 0.6520 0.6031
O11 0.5610 0.0022 0.1961
O12 0.6056 0.0156 0.9804
O13 0.6097 0.4964 0.2911
O14 0.6131 0.4439 0.9165
O15 0.6189 0.5852 0.5063
O16 0.6239 0.9334 0.6168
O17 0.6355 0.0780 0.8122
O18 0.6357 0.4864 0.6675
O19 0.6768 0.9944 0.3783
O20 0.6782 0.5224 0.1023


Diffraction record for LiFeSiO4. The XRD peak list is calculated, not measured: it uses a structure optimized by DFT (PBE+U) and a wavelength of 1.5418 Å.
Kinematic intensities with the Lorentz-polarization factor, no thermal factor.

The 8 most intense peaks (10° ≤ 2θ ≤ 80°), in order of rising 2θ:
2theta, intensity
15.60, 69
23.03, 100
29.93, 28
32.76, 33
33.92, 44
34.05, 30
47.43, 20
60.13, 20

Structural model:
a b c (Å): 11.3599 5.2666 5.9715
angles (deg): 90.00 90.00 90.00
Atoms (fractional coordinates):
Li1 0.1683 0.1910 0.0000
Li2 0.3317 0.6910 0.5000
Li3 0.6683 0.3090 0.0000
Li4 0.8317 0.8090 0.5000
Fe1 0.0762 0.8141 0.7266
Fe2 0.4238 0.3141 0.2266
Fe3 0.5762 0.6859 0.7266
Fe4 0.9238 0.1859 0.2266
Si1 0.0858 0.6862 0.2343
Si2 0.4142 0.1862 0.7343
Si3 0.5858 0.8138 0.2343
Si4 0.9142 0.3138 0.7343
O1 0.0419 0.1666 0.7573
O2 0.0645 0.3780 0.2109
O3 0.1539 0.7892 0.0088
O4 0.1646 0.7469 0.4605
O5 0.3354 0.2469 0.9605
O6 0.3461 0.2892 0.5088
O7 0.4355 0.8780 0.7109
O8 0.4581 0.6666 0.2573
O9 0.5419 0.3334 0.7573
O10 0.5645 0.1220 0.2109
O11 0.6539 0.7108 0.0088
O12 0.6646 0.7531 0.4605
O13 0.8354 0.2531 0.9605
O14 0.8461 0.2108 0.5088
O15 0.9355 0.6220 0.7109
O16 0.9581 0.8334 0.2573